Calculated powder diffractogram
Compound: La5P12Ir19
Radiation: Cu Kα X-rays
Structure: DFT lattice parameters and positions (GGA-PBE)

Peak list (10 most intense, 2θ from 10° to 90°, by angle)
2θ = 27.77°, I 196, hkl 2 2 0; 2θ = 30.66°, I 141, hkl 2 1 1; 2θ = 35.69°, I 1000, hkl 2 2 1; 2θ = 36.62°, I 166, hkl 3 1 1; 2θ = 44.80°, I 211, hkl 0 0 2; 2θ = 45.37°, I 102, hkl 5 1 0; 2θ = 46.57°, I 126, hkl 5 0 1; 2θ = 49.12°, I 129, hkl 6 0 0; 2θ = 68.65°, I 95, hkl 6 0 2; 2θ = 76.62°, I 111, hkl 2 2 3

Structural model:
Lattice parameters (Å, degrees): 12.8502 12.8502 4.0463 90.00 90.00 120.00
Space group P-62m (No. 189)
Unique sites:
La: 0.0000 0.8137 0.0000 x3
La: 0.3333 0.6667 0.5000 x2
P: 0.0000 0.1819 0.5000 x3
P: 0.0000 0.6371 0.5000 x3
P: 0.1706 0.4811 0.0000 x6
Ir: 0.0000 0.0000 0.5000 x1
Ir: 0.0000 0.2868 0.0000 x3
Ir: 0.0000 0.4599 0.5000 x3
Ir: 0.1288 0.6375 0.0000 x6
Ir: 0.1806 0.3793 0.5000 x6

---

Calculated powder diffractogram
Compound: PmDyHg2
Radiation: Cu Kα X-rays
Structure: DFT lattice parameters and positions (GGA-PBE)

Peak list (9 most intense, 2θ from 10° to 90°, by angle)
2θ = 23.56°, I 20, hkl 2 0 0; 2θ = 33.56°, I 1000, hkl 2 2 0; 2θ = 41.42°, I 7, hkl 2 2 2; 2θ = 48.20°, I 183, hkl 4 0 0; 2θ = 54.33°, I 10, hkl 4 2 0; 2θ = 60.01°, I 383, hkl 4 2 2; 2θ = 70.55°, I 119, hkl 4 4 0; 2θ = 75.54°, I 5, hkl 6 0 0; 2θ = 80.43°, I 169, hkl 6 2 0

Structural model:
Lattice parameters (Å, degrees): 7.552 7.552 7.552 90.00 90.00 90.00
Space group Fm-3m (No. 225)
Unique sites:
Pm: 0.000 0.000 0.000 x4
Dy: 0.000 0.000 0.500 x4
Hg: 0.250 0.250 0.250 x8

---

Calculated powder diffractogram
Compound: Na2Ti7O15
Radiation: Cu Kα X-rays
Structure: DFT lattice parameters and positions (GGA-PBE)

Peak list (10 most intense, 2θ from 10° to 90°, by angle)
2θ = 11.60°, I 1000, hkl 2 0 0; 2θ = 13.54°, I 434, hkl 2 0 -2; 2θ = 24.34°, I 383, hkl 1 1 0; 2θ = 29.51°, I 379, hkl 3 1 0; 2θ = 30.18°, I 348, hkl 3 1 -2; 2θ = 30.46°, I 348, hkl 2 0 -7; 2θ = 33.14°, I 333, hkl 4 0 5; 2θ = 42.79°, I 275, hkl 4 0 -9; 2θ = 43.32°, I 242, hkl 6 0 5; 2θ = 48.32°, I 323, hkl 0 2 0

Structural model:
Lattice parameters (Å, degrees): 15.348 3.767 21.415 90.00 96.07 90.00
Space group Cm (No. 8)
Unique sites:
Na: 0.000 0.000 0.000 x2
Na: 0.030 0.000 0.580 x2
Na: 0.066 0.000 0.189 x2
Na: 0.099 0.000 0.785 x2
Ti: 0.164 0.500 0.939 x2
Ti: 0.187 0.500 0.509 x2
Ti: 0.205 0.500 0.085 x2
Ti: 0.231 0.500 0.656 x2
Ti: 0.260 0.500 0.229 x2
Ti: 0.287 0.500 0.800 x2
Ti: 0.309 0.500 0.372 x2
Ti: 0.317 0.000 0.996 x2
Ti: 0.341 0.000 0.566 x2
Ti: 0.369 0.000 0.140 x2
Ti: 0.397 0.000 0.709 x2
Ti: 0.422 0.000 0.284 x2
Ti: 0.441 0.000 0.855 x2
Ti: 0.468 0.000 0.425 x2
O: 0.012 0.500 0.342 x2
O: 0.051 0.500 0.900 x2
O: 0.075 0.500 0.472 x2
O: 0.112 0.500 0.027 x2
O: 0.138 0.500 0.598 x2
O: 0.162 0.500 0.165 x2
O: 0.190 0.000 0.951 x2
O: 0.190 0.500 0.736 x2
O: 0.214 0.000 0.522 x2
O: 0.217 0.500 0.303 x2
O: 0.220 0.500 0.864 x2
O: 0.242 0.000 0.085 x2
O: 0.249 0.500 0.437 x2
O: 0.269 0.000 0.656 x2
O: 0.284 0.500 0.005 x2
O: 0.292 0.000 0.220 x2
O: 0.309 0.500 0.576 x2
O: 0.320 0.000 0.795 x2
O: 0.337 0.500 0.144 x2
O: 0.343 0.000 0.361 x2
O: 0.362 0.500 0.716 x2
O: 0.384 0.000 0.935 x2
O: 0.385 0.500 0.281 x2
O: 0.407 0.000 0.504 x2
O: 0.413 0.000 0.063 x2
O: 0.414 0.500 0.849 x2
O: 0.435 0.500 0.417 x2
O: 0.439 0.000 0.633 x2
O: 0.466 0.000 0.201 x2
O: 0.490 0.000 0.773 x2

---

Calculated powder diffractogram
Compound: Mg6ZnSb
Radiation: Cu Kα X-rays
Structure: DFT lattice parameters and positions (GGA-PBE)

Peak list (10 most intense, 2θ from 10° to 90°, by angle)
2θ = 16.80°, I 369, hkl 0 0 2; 2θ = 17.07°, I 349, hkl 1 0 0; 2θ = 24.04°, I 308, hkl 1 0 2; 2θ = 32.46°, I 333, hkl 0 2 2; 2θ = 34.54°, I 379, hkl 2 0 0; 2θ = 36.90°, I 1000, hkl 1 2 2; 2θ = 38.26°, I 468, hkl 1 0 4; 2θ = 48.12°, I 216, hkl 2 2 2; 2θ = 59.84°, I 196, hkl 0 2 6; 2θ = 70.96°, I 201, hkl 2 2 6

Structural model:
Lattice parameters (Å, degrees): 5.194 6.471 10.555 90.00 90.00 90.00
Space group Amm2 (No. 38)
Unique sites:
Mg: 0.000 0.000 0.000 x2
Mg: 0.000 0.000 0.498 x2
Mg: 0.000 0.243 0.247 x4
Mg: 0.500 0.249 0.916 x4
Zn: 0.500 0.000 0.163 x2
Sb: 0.500 0.000 0.666 x2